[1]
Diffraction record for SrCaV4O12. The XRD peak list is theoretical, not measured: it uses a structure optimized by DFT (GGA+U) and copper Kα.

Cell: 5.3392 5.3392 7.5480 Å, 90.00 90.00 90.03°
Sites, in units of the cell vectors:
Sr 0.0000 0.0000 0.0000
Ca 0.5000 0.5000 0.5000
V 0.0000 0.5000 0.2517
V 0.0000 0.5000 0.7483
V 0.5000 0.0000 0.2517
V 0.5000 0.0000 0.7483
O 0.0000 0.5000 0.0000
O 0.0000 0.5000 0.5000
O 0.2494 0.7506 0.2533
O 0.2494 0.7506 0.7467
O 0.2535 0.2535 0.2535
O 0.2535 0.2535 0.7465
O 0.5000 0.0000 0.0000
O 0.5000 0.0000 0.5000
O 0.7465 0.7465 0.2535
O 0.7465 0.7465 0.7465
O 0.7506 0.2494 0.2533
O 0.7506 0.2494 0.7467

Most intense lines, 2θ from 10° to 80°, in order of rising 2θ:
Position (°2θ), I (rel.)
20.4, 58.7
23.6, 38.2
33.6, 100.0
39.6, 30.4
48.2, 63.8
52.9, 12.7
54.3, 10.0
60.0, 36.1
64.1, 9.3
70.6, 33.6

***

[2]
Diffraction record for Sr3CaV4O12. The XRD peak list is theoretical, not measured: it uses a structure optimized by DFT (GGA+U) and copper Kα.

Cell: 5.4252 4.0165 10.9105 Å, 90.00 90.29 90.00°
Sites, in units of the cell vectors:
Sr 0.0000 0.0000 0.0000
Sr 0.4976 0.0000 0.7496
Sr 0.5024 0.0000 0.2504
Ca 0.0000 0.0000 0.5000
V 0.0028 0.5000 0.2540
V 0.5000 0.5000 0.0000
V 0.5000 0.5000 0.5000
V 0.9972 0.5000 0.7460
O 0.0006 0.0000 0.7414
O 0.2164 0.5000 0.5998
O 0.2353 0.5000 0.1090
O 0.2620 0.5000 0.8569
O 0.2817 0.5000 0.3547
O 0.5000 0.0000 0.0000
O 0.5000 0.0000 0.5000
O 0.7183 0.5000 0.6453
O 0.7380 0.5000 0.1431
O 0.7647 0.5000 0.8910
O 0.7836 0.5000 0.4002
O 0.9994 0.0000 0.2586

Most intense lines, 2θ from 10° to 80°, in order of rising 2θ:
Position (°2θ), I (rel.)
32.2, 100.0
32.8, 26.1
33.0, 24.7
40.0, 11.7
40.1, 12.3
45.1, 23.8
47.1, 19.6
47.4, 19.4
58.4, 19.1
67.3, 11.9